# TlMo2Cl7O2
Calculated powder diffractogram, Cu Kα (weighted mean of Kα1 and Kα2). Input: a structure optimized by DFT (GGA+U).

Peak list (6 most intense, 2θ = 10–90°, low angle first)
2θ/deg  I (rel.)
12.6  52.7
15.2  90.1
17.7  100.0
23.5  80.6
25.4  69.6
32.2  91.5

Atomic structure:
```
data_TlMo2Cl7O2
_cell_length_a 7.175
_cell_length_b 9.811
_cell_length_c 10.039
_cell_angle_alpha 90.00
_cell_angle_beta 90.00
_cell_angle_gamma 90.00
_symmetry_space_group_name_H-M 'P m m n'
_symmetry_Int_Tables_number 59
loop_
_symmetry_equiv_pos_as_xyz
'x,y,z'
'-x,-y,-z'
'-x+1/2,-y+1/2,z'
'x+1/2,y+1/2,-z'
'x+1/2,-y,-z'
'-x+1/2,y,z'
'-x,y+1/2,-z'
'x,-y+1/2,z'
loop_
_atom_site_label
_atom_site_type_symbol
_atom_site_fract_x
_atom_site_fract_y
_atom_site_fract_z
_atom_site_occupancy
Tl1 Tl 0.250 0.250 0.017 1
Mo1 Mo 0.250 0.570 0.699 1
Cl1 Cl 0.015 0.049 0.814 1
Cl2 Cl 0.018 0.750 0.629 1
Cl3 Cl 0.250 0.750 0.901 1
O1 O 0.250 0.008 0.548 1
```